For KTbCu3Se4, the PBE geometry in OQMD gives the simulated powder diffraction line list in this record (Cu Kα, 1.54184 Å).

Most intense lines, 2θ = 5–70°, sorted by position:
- 6.347 Å, rel. 59.2
- 4.488 Å, rel. 21.2
- 3.664 Å, rel. 54.5
- 2.838 Å, rel. 19.3
- 2.244 Å, rel. 100.0
- 2.116 Å, rel. 16.0
- 1.914 Å, rel. 24.2
- 1.587 Å, rel. 15.9

```
data_KTbCu3Se4
_chemical_formula_sum 'K1 Tb1 Cu3 Se4'
_space_group_name_H-M_alt 'P 1'
_space_group_IT_number 1
_cell_length_a 6.347
_cell_length_b 6.347
_cell_length_c 6.347
_cell_angle_alpha 90.00
_cell_angle_beta 90.00
_cell_angle_gamma 90.00
loop_
_space_group_symop_operation_xyz
'x,y,z'
loop_
_atom_site_label
_atom_site_type_symbol
_atom_site_fract_x
_atom_site_fract_y
_atom_site_fract_z
K1 K 0.000 0.000 0.000
Tb1 Tb 0.500 0.500 0.500
Cu1 Cu 0.000 0.500 0.500
Cu2 Cu 0.500 0.000 0.500
Cu3 Cu 0.500 0.500 0.000
Se1 Se 0.263 0.263 0.263
Se2 Se 0.263 0.737 0.737
Se3 Se 0.737 0.263 0.737
Se4 Se 0.737 0.737 0.263
```